(1)
For Rb2MoPbCl6, a PBE-relaxed structure gives the simulated XRD peak list in this record (Cu Kα).
No peak broadening, texture or thermal motion is included.

```
data_Rb2MoPbCl6
_space_group_name_H-M_alt 'I 4/m m m'
_space_group_IT_number 139
_space_group_name_Hall '-I 4 2'
_cell_length_a 7.6844
_cell_length_b 7.6844
_cell_length_c 10.8946
_cell_angle_alpha 90.00
_cell_angle_beta 90.00
_cell_angle_gamma 90.00
loop_
_atom_site_label
_atom_site_type_symbol
_atom_site_fract_x
_atom_site_fract_y
_atom_site_fract_z
Rb1 Rb 0.0000 0.5000 0.2500
Mo1 Mo 0.0000 0.0000 0.0000
Pb1 Pb 0.0000 0.0000 0.5000
Cl1 Cl 0.0000 0.0000 0.2339
Cl2 Cl 0.2335 0.2335 0.0000
```

The 6 most intense peaks (10° ≤ 2θ ≤ 80°), sorted by position:
2theta  intensity  h k l
16.30  295  1 1 0
23.13  1000  2 0 0
32.94  592  2 2 0
40.64  461  3 1 2
47.28  402  4 0 0
64.04  173  4 2 4

=====

(2)
For MoPd3Cl9, a PBE-relaxed structure gives the simulated XRD peak list in this record (Cu Kα).
No peak broadening, texture or thermal motion is included.

```
data_MoPd3Cl9
_space_group_name_H-M_alt 'C 1 c 1'
_space_group_IT_number 9
_space_group_name_Hall 'C -2yc'
_cell_length_a 19.6782
_cell_length_b 6.7594
_cell_length_c 14.3249
_cell_angle_alpha 90.00
_cell_angle_beta 130.93
_cell_angle_gamma 90.00
loop_
_atom_site_label
_atom_site_type_symbol
_atom_site_fract_x
_atom_site_fract_y
_atom_site_fract_z
Mo1 Mo 0.0000 0.1060 0.0000
Pd1 Pd 0.0012 0.2914 0.7324
Pd2 Pd 0.2444 0.4607 0.3888
Pd3 Pd 0.3911 0.1218 0.7255
Cl1 Cl 0.0168 0.4162 0.9047
Cl2 Cl 0.0460 0.2826 0.1700
Cl3 Cl 0.1460 0.0336 0.0928
Cl4 Cl 0.1550 0.2677 0.8512
Cl5 Cl 0.2674 0.2859 0.5515
Cl6 Cl 0.3462 0.1722 0.1175
Cl7 Cl 0.3476 0.2872 0.3852
Cl8 Cl 0.4524 0.4339 0.8154
Cl9 Cl 0.4745 0.2941 0.0521
```

The 6 most intense peaks (10° ≤ 2θ ≤ 80°), sorted by position:
2theta  intensity  h k l
11.91  534  2 0 0
18.05  301  4 0 -2
18.67  1000  1 1 -2
22.87  317  3 1 -3
26.68  358  2 0 -4
39.83  240  7 1 -1